Starting from the PBE+U geometry in Alexandria, the X-ray powder pattern of MoH8N2O4 was computed for Cu Kα X-rays.

Main lines, sorted by position (10 to 90 degrees two-theta):
| two_theta | d_spacing | intensity | hkl |
| --- | --- | --- | --- |
| 15.07 | 5.879 | 95 | 1 0 0 |
| 15.65 | 5.661 | 63 | 0 0 2 |
| 16.94 | 5.234 | 100 | 1 0 -2 |
| 19.40 | 4.575 | 43 | 0 1 2 |
| 22.69 | 3.919 | 29 | 1 1 1 |
| 24.22 | 3.674 | 67 | 0 2 1 |
| 26.25 | 3.394 | 34 | 0 1 3 |
| 26.92 | 3.311 | 90 | 1 2 -1 |
| 28.22 | 3.162 | 78 | 2 0 -2 |
| 30.29 | 2.951 | 28 | 1 2 1 |
| 31.38 | 2.850 | 54 | 1 1 -4 |
| 33.10 | 2.707 | 29 | 0 2 3 |

```
data_MoH8N2O4
_symmetry_space_group_name_H-M 'P 1 21/c 1'
_symmetry_Int_Tables_number 14
_symmetry_space_group_name_Hall '-P 2ybc'
_cell_length_a 6.3943
_cell_length_b 7.7686
_cell_length_c 12.3131
_cell_angle_alpha 90.00
_cell_angle_beta 113.16
_cell_angle_gamma 90.00
loop_
_atom_site_label
_atom_site_type_symbol
_atom_site_fract_x
_atom_site_fract_y
_atom_site_fract_z
_atom_site_occupancy
Mo1 Mo 0.0898 0.1364 0.3145 1
H1 H 0.2098 0.7395 0.4812 1
H2 H 0.2227 0.5911 0.5877 1
H3 H 0.2438 0.5244 0.4623 1
H4 H 0.2896 0.2258 0.6558 1
H5 H 0.3320 0.0781 0.5622 1
H6 H 0.3524 0.0157 0.6958 1
H7 H 0.4455 0.6543 0.8155 1
H8 H 0.4590 0.6431 0.5624 1
N1 N 0.2819 0.6251 0.5236 1
N2 N 0.3847 0.1184 0.6496 1
O1 O 0.1660 0.0944 0.1905 1
O2 O 0.1783 0.5389 0.9179 1
O3 O 0.2114 0.6689 0.2313 1
O4 O 0.2459 0.1760 0.8900 1
```